# 1
Simulated powder XRD pattern
Compound: Fe2Mo4O7
Radiation: Cu Kα, 1.54184 Å
Structure: a cell relaxed with GGA+U

```
data_Fe2Mo4O7
_cell_length_a 9.697
_cell_length_b 9.697
_cell_length_c 6.168
_cell_angle_alpha 108.47
_cell_angle_beta 108.47
_cell_angle_gamma 38.92
_space_group_name_H-M_alt 'P 1'
_space_group_IT_number 1
loop_
_space_group_symop_operation_xyz
'x,y,z'
loop_
_atom_site_label
_atom_site_fract_x
_atom_site_fract_y
_atom_site_fract_z
Fe1 0.000 0.000 0.000
Fe2 0.003 0.003 0.499
Fe3 0.450 0.450 0.186
Fe4 0.557 0.557 0.797
Mo1 0.126 0.621 0.610
Mo2 0.250 0.250 0.199
Mo3 0.252 0.252 0.709
Mo4 0.378 0.880 0.367
Mo5 0.621 0.126 0.610
Mo6 0.752 0.752 0.734
Mo7 0.754 0.754 0.217
Mo8 0.880 0.378 0.367
O1 0.128 0.128 0.590
O2 0.129 0.129 0.139
O3 0.239 0.778 0.257
O4 0.245 0.750 0.746
O5 0.373 0.373 0.374
O6 0.375 0.375 0.845
O7 0.507 0.995 0.985
O8 0.625 0.625 0.609
O9 0.627 0.627 0.120
O10 0.750 0.245 0.746
O11 0.778 0.239 0.257
O12 0.874 0.874 0.836
O13 0.875 0.875 0.387
O14 0.995 0.507 0.985
```

Peak list (10 most intense, 10° ≤ 2θ ≤ 90°, sorted by position)
d 8.611, I 36; d 5.807, I 51; d 3.007, I 54; d 2.823, I 36; d 2.584, I 77; d 2.561, I 44; d 2.507, I 68; d 2.231, I 100; d 2.153, I 47; d 1.549, I 90

=====

# 2
Simulated powder XRD pattern
Compound: FeMoO4
Radiation: Cu Kα, 1.54184 Å
Structure: a cell relaxed with GGA+U

```
data_FeMoO4
_cell_length_a 6.175
_cell_length_b 6.175
_cell_length_c 6.175
_cell_angle_alpha 123.14
_cell_angle_beta 123.14
_cell_angle_gamma 84.64
_space_group_name_H-M_alt 'P 1'
_space_group_IT_number 1
loop_
_space_group_symop_operation_xyz
'x,y,z'
loop_
_atom_site_label
_atom_site_fract_x
_atom_site_fract_y
_atom_site_fract_z
Fe1 0.000 0.000 0.000
Mo1 0.750 0.250 0.500
O1 0.394 0.191 0.312
O2 0.809 0.121 0.203
O3 0.879 0.082 0.688
O4 0.918 0.606 0.797
```

Peak list (10 most intense, 10° ≤ 2θ ≤ 90°, sorted by position)
d 4.943, I 100; d 3.074, I 35; d 2.940, I 14; d 2.703, I 7; d 2.527, I 12; d 1.990, I 15; d 1.803, I 7; d 1.722, I 12; d 1.537, I 6; d 1.500, I 6

=====

# 3
Simulated powder XRD pattern
Compound: FeMo2O10
Radiation: Cu Kα, 1.54184 Å
Structure: a cell relaxed with GGA+U

```
data_FeMo2O10
_cell_length_a 7.545
_cell_length_b 7.962
_cell_length_c 8.222
_cell_angle_alpha 65.22
_cell_angle_beta 82.48
_cell_angle_gamma 83.21
_space_group_name_H-M_alt 'P 1'
_space_group_IT_number 1
loop_
_space_group_symop_operation_xyz
'x,y,z'
loop_
_atom_site_label
_atom_site_fract_x
_atom_site_fract_y
_atom_site_fract_z
Fe1 0.066 0.183 0.176
Fe2 0.934 0.817 0.824
Mo1 0.070 0.269 0.556
Mo2 0.255 0.491 0.757
Mo3 0.745 0.509 0.243
Mo4 0.930 0.731 0.444
O1 0.001 0.063 0.753
O2 0.026 0.529 0.336
O3 0.141 0.655 0.851
O4 0.154 0.177 0.388
O5 0.182 0.674 0.515
O6 0.219 0.277 0.967
O7 0.275 0.316 0.620
O8 0.367 0.866 0.973
O9 0.455 0.921 0.826
O10 0.477 0.527 0.738
O11 0.523 0.473 0.262
O12 0.545 0.079 0.174
O13 0.633 0.134 0.027
O14 0.725 0.684 0.380
O15 0.781 0.723 0.033
O16 0.818 0.326 0.485
O17 0.846 0.823 0.612
O18 0.859 0.345 0.149
O19 0.974 0.471 0.664
O20 0.999 0.937 0.247
```

Peak list (10 most intense, 10° ≤ 2θ ≤ 90°, sorted by position)
d 7.458, I 100; d 7.211, I 30; d 5.044, I 60; d 3.783, I 30; d 3.747, I 20; d 3.369, I 31; d 3.222, I 28; d 2.954, I 23; d 2.861, I 14; d 2.551, I 13

=====

# 4
Simulated powder XRD pattern
Compound: Fe2Mo3O12
Radiation: Cu Kα, 1.54184 Å
Structure: a cell relaxed with GGA+U

```
data_Fe2Mo3O12
_cell_length_a 6.706
_cell_length_b 8.474
_cell_length_c 10.351
_cell_angle_alpha 106.41
_cell_angle_beta 100.19
_cell_angle_gamma 110.52
_space_group_name_H-M_alt 'P 1'
_space_group_IT_number 1
loop_
_space_group_symop_operation_xyz
'x,y,z'
loop_
_atom_site_label
_atom_site_fract_x
_atom_site_fract_y
_atom_site_fract_z
Fe1 0.029 0.182 0.000
Fe2 0.238 0.658 0.595
Fe3 0.762 0.342 0.405
Fe4 0.971 0.818 0.000
Mo1 0.071 0.590 0.246
Mo2 0.154 0.209 0.329
Mo3 0.459 0.115 0.876
Mo4 0.541 0.885 0.124
Mo5 0.846 0.791 0.671
Mo6 0.929 0.410 0.754
O1 0.002 0.307 0.873
O2 0.063 0.064 0.132
O3 0.097 0.396 0.444
O4 0.108 0.045 0.400
O5 0.133 0.392 0.172
O6 0.194 0.527 0.733
O7 0.238 0.734 0.427
O8 0.262 0.889 0.735
O9 0.296 0.887 0.017
O10 0.331 0.227 0.984
O11 0.428 0.746 0.213
O12 0.452 0.311 0.370
O13 0.548 0.689 0.630
O14 0.572 0.254 0.787
O15 0.669 0.773 0.016
O16 0.704 0.113 0.983
O17 0.738 0.111 0.265
O18 0.762 0.266 0.573
O19 0.806 0.473 0.267
O20 0.867 0.608 0.828
O21 0.892 0.955 0.600
O22 0.903 0.604 0.556
O23 0.937 0.936 0.868
O24 0.998 0.693 0.127
```

Peak list (10 most intense, 10° ≤ 2θ ≤ 90°, sorted by position)
d 7.272, I 53; d 6.067, I 16; d 5.975, I 43; d 4.894, I 17; d 3.958, I 17; d 3.721, I 18; d 3.432, I 100; d 3.141, I 59; d 3.013, I 47; d 1.822, I 29

=====

# 5
Simulated powder XRD pattern
Compound: Sr5FeMo4O15
Radiation: Cu Kα, 1.54184 Å
Structure: a cell relaxed with GGA+U

```
data_Sr5FeMo4O15
_cell_length_a 9.064
_cell_length_b 9.064
_cell_length_c 7.015
_cell_angle_alpha 104.92
_cell_angle_beta 104.92
_cell_angle_gamma 37.03
_space_group_name_H-M_alt 'P 1'
_space_group_IT_number 1
loop_
_space_group_symop_operation_xyz
'x,y,z'
loop_
_atom_site_label
_atom_site_fract_x
_atom_site_fract_y
_atom_site_fract_z
Sr1 0.000 0.000 0.000
Sr2 0.190 0.190 0.784
Sr3 0.406 0.406 0.592
Sr4 0.594 0.594 0.408
Sr5 0.810 0.810 0.216
Fe1 0.000 0.000 0.500
Mo1 0.198 0.198 0.299
Mo2 0.401 0.401 0.099
Mo3 0.599 0.599 0.901
Mo4 0.802 0.802 0.701
O1 0.000 0.500 0.500
O2 0.098 0.606 0.897
O3 0.100 0.100 0.413
O4 0.201 0.702 0.296
O5 0.298 0.799 0.704
O6 0.303 0.303 0.194
O7 0.394 0.902 0.103
O8 0.500 0.000 0.500
O9 0.500 0.500 0.000
O10 0.606 0.098 0.897
O11 0.697 0.697 0.806
O12 0.702 0.201 0.296
O13 0.799 0.298 0.704
O14 0.900 0.900 0.587
O15 0.902 0.394 0.103
```

Peak list (10 most intense, 10° ≤ 2θ ≤ 90°, sorted by position)
d 2.878, I 21; d 2.867, I 100; d 2.031, I 28; d 2.025, I 14; d 1.660, I 16; d 1.655, I 26; d 1.439, I 4; d 1.434, I 20; d 1.284, I 7; d 1.282, I 9